# ZnF
Computed powder diffraction line list, Cu Kα X-rays. Input: a PBE-relaxed structure.
No peak broadening, texture or thermal motion is included.

Main lines, sorted by position (5° ≤ 2θ ≤ 70°):
2θ (°)	d/Å	I/Imax
22.0	4.046	21
23.9	3.717	100
24.5	3.633	9
32.6	2.749	18
36.2	2.478	8
36.7	2.451	10
36.9	2.437	10
44.8	2.023	11
45.9	1.978	17
54.2	1.693	10
54.5	1.684	9
61.2	1.514	8

Structure:
Cell lengths 5.6999, 5.7441, 9.4058 Å; angles 90.00, 90.00, 90.00 degrees
Positions (direct):
Zn  0.0769  0.0264  0.0356
Zn  0.2238  0.1754  0.7132
Zn  0.2762  0.8246  0.2132
Zn  0.4231  0.9736  0.5356
Zn  0.5769  0.4736  0.9644
Zn  0.7238  0.3246  0.2868
Zn  0.7762  0.6754  0.7868
Zn  0.9231  0.5264  0.4644
F  0.0283  0.4700  0.6716
F  0.2167  0.7242  0.4207
F  0.2833  0.2758  0.9207
F  0.4717  0.5300  0.1716
F  0.5283  0.0300  0.3284
F  0.7167  0.7758  0.5793
F  0.7833  0.2242  0.0793
F  0.9717  0.9700  0.8284

***

# Zr2ZnF11
Computed powder diffraction line list, Cu Kα X-rays. Input: a PBE-relaxed structure.
No peak broadening, texture or thermal motion is included.

Main lines, sorted by position (5° ≤ 2θ ≤ 70°):
2θ (°)	d/Å	I/Imax
17.3	5.137	35
18.4	4.823	16
21.6	4.116	27
22.3	3.989	19
23.2	3.838	14
23.9	3.727	50
24.7	3.598	15
25.5	3.499	100
26.7	3.337	38
44.1	2.055	19
46.4	1.957	20
52.3	1.750	22

Structure:
Cell lengths 7.8497, 7.8497, 9.7043 Å; angles 123.06, 123.06, 63.13 degrees
Positions (direct):
Zr  0.0959  0.3962  0.2142
Zr  0.3962  0.0959  0.7142
Zr  0.6038  0.9040  0.2858
Zr  0.9040  0.6038  0.7858
Zn  0.3674  0.6326  0.7500
Zn  0.6326  0.3674  0.2500
F  0.0000  0.5000  0.0000
F  0.0233  0.1884  0.9520
F  0.1062  0.3128  0.7305
F  0.1197  0.7011  0.8034
F  0.1884  0.0233  0.4520
F  0.2096  0.4732  0.4841
F  0.2989  0.8803  0.6966
F  0.3128  0.1062  0.2305
F  0.3585  0.4688  0.2859
F  0.4688  0.3585  0.7859
F  0.4732  0.2096  0.9841
F  0.5000  0.0000  0.5000
F  0.5268  0.7904  0.0159
F  0.5312  0.6415  0.2141
F  0.6415  0.5312  0.7141
F  0.6872  0.8938  0.7695
F  0.7011  0.1197  0.3034
F  0.7904  0.5268  0.5159
F  0.8116  0.9767  0.5480
F  0.8803  0.2989  0.1966
F  0.8938  0.6872  0.2695
F  0.9767  0.8116  0.0480